Record 1
Simulated powder XRD pattern
Compound: Ac3La6Pr
Radiation: Cu Kα (weighted mean of Kα1 and Kα2)
Structure: DFT lattice parameters and positions (GGA-PBE)
No peak broadening, texture or thermal motion is included.

Structural model:
```
data_Ac3La6Pr
_chemical_formula_sum 'Ac12 La24 Pr4'
_cell_length_a 10.446
_cell_length_b 15.643
_cell_length_c 9.628
_cell_angle_alpha 90.00
_cell_angle_beta 90.00
_cell_angle_gamma 90.00
_symmetry_space_group_name_H-M 'C m c 21'
_symmetry_Int_Tables_number 36
loop_
_symmetry_equiv_pos_as_xyz
'x,y,z'
'-x,-y,z+1/2'
'-x,y,z'
'x,-y,z+1/2'
'x+1/2,y+1/2,z'
'-x+1/2,-y+1/2,z+1/2'
'-x+1/2,y+1/2,z'
'x+1/2,-y+1/2,z+1/2'
loop_
_atom_site_label
_atom_site_type_symbol
_atom_site_fract_x
_atom_site_fract_y
_atom_site_fract_z
_atom_site_occupancy
Ac1 Ac 0.000 0.035 0.000 1
Ac2 Ac 0.177 0.345 0.510 1
La1 La 0.000 0.196 0.280 1
La2 La 0.000 0.437 0.167 1
La3 La 0.183 0.140 0.681 1
La4 La 0.210 0.427 0.853 1
Pr1 Pr 0.000 0.264 0.909 1
```

Peak list (6 most intense, 10 to 80 degrees two-theta, low angle first)
- 26.61 deg, rel. 421, (1 3 2)
- 27.66 deg, rel. 312, (2 2 2)
- 27.84 deg, rel. 496, (3 1 1)
- 30.06 deg, rel. 1000, (0 2 3)
- 31.26 deg, rel. 339, (1 5 1)
- 32.25 deg, rel. 442, (3 1 2)



Record 2
Simulated powder XRD pattern
Compound: AcLa2Pr7
Radiation: Cu Kα (weighted mean of Kα1 and Kα2)
Structure: DFT lattice parameters and positions (GGA-PBE)
No peak broadening, texture or thermal motion is included.

Structural model:
```
data_AcLa2Pr7
_chemical_formula_sum 'Ac1 La2 Pr7'
_cell_length_a 6.488
_cell_length_b 6.498
_cell_length_c 9.915
_cell_angle_alpha 102.68
_cell_angle_beta 108.94
_cell_angle_gamma 99.59
_symmetry_space_group_name_H-M 'P -1'
_symmetry_Int_Tables_number 2
loop_
_symmetry_equiv_pos_as_xyz
'x,y,z'
'-x,-y,-z'
loop_
_atom_site_label
_atom_site_type_symbol
_atom_site_fract_x
_atom_site_fract_y
_atom_site_fract_z
_atom_site_occupancy
Ac1 Ac 0.000 0.000 0.000 1
La1 La 0.403 0.203 0.403 1
Pr1 Pr 0.000 0.500 0.500 1
Pr2 Pr 0.202 0.100 0.698 1
Pr3 Pr 0.202 0.602 0.202 1
Pr4 Pr 0.398 0.695 0.899 1
```

Peak list (6 most intense, 10 to 80 degrees two-theta, low angle first)
- 29.17 deg, rel. 1000, (1 1 1)
- 33.81 deg, rel. 509, (2 -1 1)
- 48.53 deg, rel. 246, (3 1 -1)
- 48.62 deg, rel. 122, (2 1 -5)
- 57.62 deg, rel. 257, (3 -3 1)
- 57.71 deg, rel. 183, (3 2 -4)